Record 1
The following is a calculated X-ray diffraction stick pattern of PmSm4In5. It was derived from a structure optimized by DFT (GGA-PBE), using Cu Kα.
Peak positions follow from Bragg's law for the DFT cell and can differ from measured ones.

Structural model:
a = 3.8404 Å, b = 3.8404 Å, c = 19.1107 Å
α = 90.00°, β = 90.00°, γ = 90.00°
Fractional coordinates of all 10 atoms:
Pm  0.0000  0.0000  0.0000
Sm  0.0000  0.0000  0.2008
Sm  0.0000  0.0000  0.4003
Sm  0.0000  0.0000  0.5997
Sm  0.0000  0.0000  0.7992
In  0.5000  0.5000  0.1012
In  0.5000  0.5000  0.3005
In  0.5000  0.5000  0.5000
In  0.5000  0.5000  0.6995
In  0.5000  0.5000  0.8988

Most intense lines, 10 to 80 degrees two-theta, low angle first:
2θ/deg	I/Imax
33.04	100
47.34	12
58.96	25
59.11	12
69.38	8
78.83	11

***

Record 2
The following is a calculated X-ray diffraction stick pattern of PuCuSnRh. It was derived from a structure optimized by DFT (GGA-PBE), using Cu Kα.
Peak positions follow from Bragg's law for the DFT cell and can differ from measured ones.

Structural model:
a = 4.7529 Å, b = 4.7529 Å, c = 4.7529 Å
α = 60.00°, β = 60.00°, γ = 60.00°
Fractional coordinates of all 4 atoms:
Pu  0.0000  0.0000  0.0000
Cu  0.7500  0.7500  0.7500
Sn  0.5000  0.5000  0.5000
Rh  0.2500  0.2500  0.2500

Most intense lines, 10 to 80 degrees two-theta, low angle first:
2θ/deg	I/Imax
22.92	12
26.52	14
37.86	100
54.62	17
61.72	6
68.37	36

***

Record 3
The following is a calculated X-ray diffraction stick pattern of Pm2Sm12Ho. It was derived from a structure optimized by DFT (GGA-PBE), using Cu Kα.
Peak positions follow from Bragg's law for the DFT cell and can differ from measured ones.

Structural model:
a = 6.7932 Å, b = 6.7932 Å, c = 24.9339 Å
α = 90.00°, β = 90.00°, γ = 116.33°
Fractional coordinates of all 30 atoms:
Pm  0.2500  0.7500  0.2344
Pm  0.2500  0.7500  0.7723
Pm  0.7500  0.2500  0.2277
Pm  0.7500  0.2500  0.7656
Sm  0.0013  0.5013  0.6269
Sm  0.0011  0.9989  0.4246
Sm  0.0189  0.5189  0.0833
Sm  0.0232  0.9768  0.9400
Sm  0.2500  0.2500  0.1737
Sm  0.2500  0.2500  0.3012
Sm  0.2500  0.2500  0.6988
Sm  0.2500  0.2500  0.8263
Sm  0.4768  0.5232  0.9400
Sm  0.4811  0.9811  0.0833
Sm  0.4989  0.5011  0.4246
Sm  0.4987  0.9987  0.6269
Sm  0.5013  0.0013  0.3731
Sm  0.5011  0.4989  0.5754
Sm  0.5189  0.0189  0.9167
Sm  0.5232  0.4768  0.0600
Sm  0.7500  0.7500  0.1737
Sm  0.7500  0.7500  0.3012
Sm  0.7500  0.7500  0.6988
Sm  0.7500  0.7500  0.8263
Sm  0.9768  0.0232  0.0600
Sm  0.9811  0.4811  0.9167
Sm  0.9989  0.0011  0.5754
Sm  0.9987  0.4987  0.3731
Ho  0.2500  0.7500  0.5003
Ho  0.7500  0.2500  0.4997

Most intense lines, 10 to 80 degrees two-theta, low angle first:
2θ/deg	I/Imax
28.72	29
29.47	50
30.22	70
30.99	71
32.69	100
36.59	44